Theoretical powder X-ray diffraction pattern
Compound: Li8Cr3SbO12
Radiation: Cu Ka
Structure: a DFT-relaxed cell (PBE+U, the Materials Project)
No peak broadening, texture or thermal motion is included.

```
data_Li8Cr3SbO12
_chemical_formula_sum 'Li8 Cr3 Sb1 O12'
_space_group_name_H-M_alt 'P 1 2 1'
_space_group_IT_number 3
_cell_length_a 5.017
_cell_length_b 8.545
_cell_length_c 5.048
_cell_angle_alpha 90.00
_cell_angle_beta 90.56
_cell_angle_gamma 90.00
loop_
_space_group_symop_operation_xyz
'x,y,z'
'-x,y,-z'
loop_
_atom_site_label
_atom_site_type_symbol
_atom_site_fract_x
_atom_site_fract_y
_atom_site_fract_z
Li1 Li 0.000 0.000 0.000
Li2 Li 0.000 0.138 0.500
Li3 Li 0.000 0.300 0.000
Li4 Li 0.000 0.837 0.500
Li5 Li 0.500 0.328 0.000
Li6 Li 0.500 0.491 0.500
Li7 Li 0.500 0.636 0.000
Li8 Li 0.500 0.806 0.500
Cr1 Cr 0.000 0.467 0.500
Cr2 Cr 0.500 0.161 0.500
Cr3 Cr 0.500 0.988 0.000
Sb1 Sb 0.000 0.657 0.000
O1 O 0.222 0.642 0.331
O2 O 0.223 0.487 0.830
O3 O 0.254 0.818 0.853
O4 O 0.259 0.309 0.353
O5 O 0.278 0.140 0.823
O6 O 0.290 0.995 0.326
```

Principal peaks in the range 2θ from 10° to 80°, sorted by position:
| index | d_spacing | two_theta | Rel. int. |
| --- | --- | --- | --- |
| 1 1 0 | 4.332 | 20.50 | 100 |
| 0 2 0 | 4.272 | 20.79 | 11 |
| 1 2 -1 | 2.742 | 32.66 | 20 |
| 1 2 1 | 2.726 | 32.85 | 18 |
| 0 3 1 | 2.480 | 36.22 | 14 |
| 1 3 -1 | 2.228 | 40.49 | 10 |
| 2 3 -1 | 1.768 | 51.70 | 14 |
| 2 3 1 | 1.760 | 51.97 | 15 |

Theoretical powder X-ray diffraction pattern
Compound: Li4Cr3Sn3Sb2O16
Radiation: Cu Ka
Structure: a DFT-relaxed cell (PBE+U, the Materials Project)
No peak broadening, texture or thermal motion is included.

```
data_Li4Cr3Sn3Sb2O16
_chemical_formula_sum 'Li8 Cr6 Sn6 Sb4 O32'
_space_group_name_H-M_alt 'C 1 m 1'
_space_group_IT_number 8
_cell_length_a 10.709
_cell_length_b 6.227
_cell_length_c 10.130
_cell_angle_alpha 90.00
_cell_angle_beta 90.51
_cell_angle_gamma 90.00
loop_
_space_group_symop_operation_xyz
'x,y,z'
'x,-y,z'
'x+1/2,y+1/2,z'
'x+1/2,-y+1/2,z'
loop_
_atom_site_label
_atom_site_type_symbol
_atom_site_fract_x
_atom_site_fract_y
_atom_site_fract_z
Li1 Li 0.000 0.000 0.000
Li2 Li 0.001 0.000 0.492
Li3 Li 0.159 0.500 0.899
Li4 Li 0.324 0.000 0.391
Cr1 Cr 0.077 0.254 0.217
Cr2 Cr 0.162 0.000 0.716
Sn1 Sn 0.325 0.500 0.216
Sn2 Sn 0.409 0.248 0.717
Sb1 Sb 0.153 0.500 0.485
Sb2 Sb 0.320 0.000 0.003
O1 O 0.009 0.500 0.330
O2 O 0.071 0.228 0.603
O3 O 0.149 0.000 0.110
O4 O 0.156 0.500 0.112
O5 O 0.232 0.273 0.337
O6 O 0.248 0.226 0.831
O7 O 0.323 0.000 0.606
O8 O 0.339 0.500 0.598
O9 O 0.418 0.267 0.102
O10 O 0.481 0.000 0.835
O11 O 0.497 0.500 0.312
O12 O 0.498 0.500 0.818
```

Principal peaks in the range 2θ from 10° to 80°, sorted by position:
| index | d_spacing | two_theta | Rel. int. |
| --- | --- | --- | --- |
| 0 0 2 | 5.065 | 17.51 | 51 |
| 1 1 1 | 4.751 | 18.68 | 100 |
| 2 0 1 | 4.716 | 18.82 | 43 |
| 2 0 -2 | 3.696 | 24.08 | 33 |
| 2 0 -3 | 2.867 | 31.20 | 41 |
| 0 2 2 | 2.652 | 33.80 | 58 |
| 2 2 -1 | 2.601 | 34.48 | 60 |
| 6 2 0 | 1.548 | 59.72 | 32 |